Entry 1:
Theoretical powder diffractogram
Compound: PrY2Tl4
Radiation: λ = 1.5418 Å (Cu Kα)
Structure: a GGA-PBE-relaxed structure

Most intense lines, 2θ = 10–90°, low angle first:
23.1°, intensity 10.1, hkl 0 0 2; 23.8°, intensity 21.7, hkl 1 1 0; 26.5°, intensity 10.1, hkl 1 1 1; 33.4°, intensity 100.0, hkl 1 1 2; 33.9°, intensity 51.0, hkl 2 0 0; 48.7°, intensity 18.6, hkl 2 2 0; 59.4°, intensity 16.1, hkl 2 0 4; 60.4°, intensity 36.9, hkl 3 1 2

Structural model:
Unit cell a=5.286 b=5.286 c=7.704 alpha=90.00 beta=90.00 gamma=90.00
Space group P4/mmm (No. 123)
Symmetry-distinct sites (fractional):
Pr 0.000 0.000 0.000
Y 0.000 0.000 0.500
Y 0.500 0.500 0.000
Tl 0.000 0.500 0.273

---

Entry 2:
Theoretical powder diffractogram
Compound: PrY6Tl2
Radiation: λ = 1.5418 Å (Cu Kα)
Structure: a GGA-PBE-relaxed structure

Most intense lines, 2θ = 10–90°, low angle first:
14.2°, intensity 26.9, hkl 2 0 -1; 30.9°, intensity 48.2, hkl 2 0 3; 31.3°, intensity 46.7, hkl 4 0 -3; 32.3°, intensity 91.4, hkl 3 1 0; 32.4°, intensity 100.0, hkl 1 1 -3; 44.8°, intensity 16.8, hkl 2 0 -6; 48.1°, intensity 17.3, hkl 0 2 0; 58.3°, intensity 18.2, hkl 2 2 3

Structural model:
Unit cell a=12.851 b=3.781 c=12.134 alpha=90.00 beta=107.56 gamma=90.00
Space group C2/m (No. 12)
Symmetry-distinct sites (fractional):
Pr 0.000 0.000 0.000
Y 0.013 0.000 0.347
Y 0.188 0.500 0.874
Y 0.191 0.500 0.583
Tl 0.143 0.500 0.216

---

Entry 3:
Theoretical powder diffractogram
Compound: Pr6Y2Tl
Radiation: λ = 1.5418 Å (Cu Kα)
Structure: a GGA-PBE-relaxed structure

Most intense lines, 2θ = 10–90°, low angle first:
27.1°, intensity 65.5, hkl 2 0 0; 31.6°, intensity 100.0, hkl 1 1 6; 31.9°, intensity 76.8, hkl 2 1 3; 32.0°, intensity 97.9, hkl 1 3 0; 33.1°, intensity 71.5, hkl 0 2 6; 43.3°, intensity 24.7, hkl 2 2 6; 58.6°, intensity 47.9, hkl 1 5 6; 65.1°, intensity 24.3, hkl 1 3 12

Structural model:
Unit cell a=6.567 b=9.275 c=20.027 alpha=90.00 beta=90.00 gamma=90.00
Space group Ibam (No. 72)
Symmetry-distinct sites (fractional):
Pr 0.000 0.000 0.082
Pr 0.117 0.322 0.170
Y 0.089 0.327 0.500
Tl 0.000 0.000 0.250